1.
Theoretical powder XRD pattern of LaMgIn for Cu Kα X-rays, from a cell relaxed with PBE.
Lines closer than 0.1° are merged.

Structural model:
Lattice parameters (Å, degrees): 4.9514 4.6930 7.5641 90.00 108.96 90.00
Space group Pm (No. 6)
Asymmetric unit:
La 0.0000 0.0000 0.0000 (multiplicity 1)
La 0.3330 0.0000 0.6710 (multiplicity 1)
Mg 0.5222 0.5000 0.0446 (multiplicity 1)
Mg 0.6688 0.0000 0.3394 (multiplicity 1)
In 0.1658 0.5000 0.3345 (multiplicity 1)
In 0.8212 0.5000 0.6470 (multiplicity 1)

Most intense lines, 10 to 90 degrees two-theta, by angle:
(hkl), two_theta, d/Å, I/Imax
1 0 0, 18.96, 4.680, 17
0 1 1, 22.66, 3.924, 16
1 1 1, 32.30, 2.772, 100
2 0 -1, 36.28, 2.476, 25
0 0 3, 37.72, 2.385, 16
0 2 0, 38.36, 2.346, 16
2 2 -1, 53.82, 1.703, 16
0 2 3, 54.90, 1.672, 13
3 1 -3, 62.78, 1.480, 14
1 3 1, 65.57, 1.424, 13

***

2.
Theoretical powder XRD pattern of RbAcHg17 for Cu Kα X-rays, from a cell relaxed with PBE.
Lines closer than 0.1° are merged.

Structural model:
Lattice parameters (Å, degrees): 10.3083 10.3083 17.6832 90.00 90.00 120.00
Space group R3m (No. 160, hexagonal axes)
Asymmetric unit:
Rb 0.0000 0.0000 0.0000 (multiplicity 3)
Ac 0.0000 0.0000 0.6749 (multiplicity 3)
Hg 0.0000 0.0000 0.2950 (multiplicity 3)
Hg 0.0000 0.0000 0.4686 (multiplicity 3)
Hg 0.0014 0.3018 0.3550 (multiplicity 18)
Hg 0.0338 0.5169 0.2189 (multiplicity 9)
Hg 0.0812 0.5406 0.8411 (multiplicity 9)
Hg 0.0826 0.5413 0.4909 (multiplicity 9)

Most intense lines, 10 to 90 degrees two-theta, by angle:
(hkl), two_theta, d/Å, I/Imax
0 2 4, 28.42, 3.141, 17
3 0 0, 30.03, 2.976, 31
0 0 6, 30.33, 2.947, 23
2 0 5, 32.29, 2.772, 24
0 3 3, 33.74, 2.656, 100
1 1 6, 35.07, 2.558, 14
1 2 5, 36.82, 2.441, 13
2 2 3, 38.11, 2.361, 16
3 0 6, 43.20, 2.094, 12
3 3 0, 53.32, 1.718, 15

***

3.
Theoretical powder XRD pattern of Hg3BrCl for Cu Kα X-rays, from a cell relaxed with PBE.
Lines closer than 0.1° are merged.

Structural model:
Lattice parameters (Å, degrees): 5.7942 5.7942 34.7674 90.00 90.00 120.00
Space group R3c (No. 161, hexagonal axes)
Asymmetric unit:
Hg 0.1151 0.3353 0.0000 (multiplicity 18)
Br 0.0000 0.0000 0.4229 (multiplicity 6)
Cl 0.0000 0.0000 0.1987 (multiplicity 6)

Most intense lines, 10 to 90 degrees two-theta, by angle:
(hkl), two_theta, d/Å, I/Imax
0 0 6, 15.29, 5.795, 100
0 1 2, 18.40, 4.821, 36
0 0 12, 30.86, 2.897, 31
1 0 10, 31.30, 2.858, 15
1 1 3, 31.84, 2.811, 24
1 1 6, 34.62, 2.591, 25
2 0 2, 36.17, 2.483, 30
0 2 4, 37.30, 2.411, 48
1 1 9, 38.86, 2.318, 14
2 0 8, 41.56, 2.173, 33

***

4.
Theoretical powder XRD pattern of LaUMn2S8 for Cu Kα X-rays, from a cell relaxed with PBE.
Lines closer than 0.1° are merged.

Structural model:
Lattice parameters (Å, degrees): 6.2808 6.2808 13.4014 90.00 90.00 90.00
Space group I-4 (No. 82)
Asymmetric unit:
La 0.0000 0.0000 0.0000 (multiplicity 2)
U 0.0000 0.5000 0.2500 (multiplicity 2)
Mn 0.0000 0.0000 0.5000 (multiplicity 2)
Mn 0.0000 0.5000 0.7500 (multiplicity 2)
S 0.1374 0.2663 0.4172 (multiplicity 8)
S 0.1677 0.7839 0.8178 (multiplicity 8)

Most intense lines, 10 to 90 degrees two-theta, by angle:
(hkl), two_theta, d/Å, I/Imax
1 0 1, 15.58, 5.687, 44
1 1 2, 24.04, 3.702, 100
2 0 0, 28.42, 3.140, 14
2 1 1, 32.57, 2.749, 24
1 2 3, 37.84, 2.378, 18
2 0 4, 39.32, 2.291, 36
2 2 0, 40.63, 2.221, 18
1 1 6, 45.45, 1.995, 21
1 3 2, 47.76, 1.904, 39
2 2 4, 49.23, 1.851, 14

***

5.
Theoretical powder XRD pattern of Y2ThIn for Cu Kα X-rays, from a cell relaxed with PBE.
Lines closer than 0.1° are merged.

Structural model:
Lattice parameters (Å, degrees): 4.6865 4.7421 11.4655 90.00 101.82 90.00
Space group P2_1/m (No. 11)
Asymmetric unit:
Y 0.0615 0.2500 0.1218 (multiplicity 2)
Y 0.4349 0.2500 0.8711 (multiplicity 2)
Th 0.1956 0.7500 0.3892 (multiplicity 2)
In 0.3362 0.7500 0.6745 (multiplicity 2)

Most intense lines, 10 to 90 degrees two-theta, by angle:
(hkl), two_theta, d/Å, I/Imax
1 1 0, 27.04, 3.297, 94
1 0 -3, 27.51, 3.242, 26
1 1 1, 29.33, 3.045, 100
0 0 4, 31.90, 2.806, 50
1 1 -3, 33.48, 2.676, 93
0 2 0, 37.95, 2.371, 46
2 0 -1, 38.42, 2.343, 45
0 2 4, 50.39, 1.811, 27
2 0 3, 50.76, 1.798, 27
2 2 -1, 55.10, 1.667, 31

***

6.
Theoretical powder XRD pattern of Nd5YSn5 for Cu Kα X-rays, from a cell relaxed with PBE.
Lines closer than 0.1° are merged.

Structural model:
Lattice parameters (Å, degrees): 16.5009 6.1877 7.3375 90.00 105.54 90.00
Space group C2/m (No. 12)
Asymmetric unit:
Nd 0.0000 0.0000 0.0000 (multiplicity 2)
Nd 0.1566 0.5000 0.2868 (multiplicity 4)
Nd 0.1777 0.5000 0.7932 (multiplicity 4)
Y 0.0000 0.0000 0.5000 (multiplicity 2)
Sn 0.0000 0.5000 0.5000 (multiplicity 2)
Sn 0.1632 0.0000 0.8576 (multiplicity 4)
Sn 0.1654 0.0000 0.3928 (multiplicity 4)

Most intense lines, 10 to 90 degrees two-theta, by angle:
(hkl), two_theta, d/Å, I/Imax
0 2 0, 28.86, 3.094, 100
4 0 -2, 28.96, 3.083, 75
2 0 2, 30.30, 2.950, 69
1 1 2, 30.94, 2.890, 26
6 0 0, 33.83, 2.650, 62
5 1 -2, 35.62, 2.521, 18
4 2 -2, 41.34, 2.184, 57
2 2 2, 42.34, 2.135, 57
6 2 0, 45.05, 2.012, 56
2 4 2, 68.51, 1.370, 21

***

7.
Theoretical powder XRD pattern of AcB4Ru for Cu Kα X-rays, from a cell relaxed with PBE.
Lines closer than 0.1° are merged.

Structural model:
Lattice parameters (Å, degrees): 6.2425 12.1413 3.7651 90.00 90.00 90.00
Space group Pbam (No. 55)
Asymmetric unit:
Ac 0.1245 0.1521 0.0000 (multiplicity 4)
B 0.0194 0.6814 0.5000 (multiplicity 4)
B 0.1080 0.5431 0.5000 (multiplicity 4)
B 0.1477 0.9680 0.5000 (multiplicity 4)
B 0.2278 0.8228 0.5000 (multiplicity 4)
Ru 0.1356 0.4109 0.0000 (multiplicity 4)

Most intense lines, 10 to 90 degrees two-theta, by angle:
(hkl), two_theta, d/Å, I/Imax
0 0 1, 23.63, 3.765, 80
1 3 0, 26.24, 3.396, 28
0 4 0, 29.43, 3.035, 30
2 1 0, 29.55, 3.023, 58
1 4 0, 32.81, 2.730, 20
1 3 1, 35.60, 2.522, 31
2 1 1, 38.15, 2.359, 100
1 4 1, 40.83, 2.210, 26
2 3 1, 43.82, 2.066, 22
0 4 2, 57.66, 1.599, 28

***

8.
Theoretical powder XRD pattern of CsAcTeI2 for Cu Kα X-rays, from a cell relaxed with PBE.
Lines closer than 0.1° are merged.

Structural model:
Lattice parameters (Å, degrees): 6.5729 6.5729 6.3590 90.00 90.00 90.00
Space group P4mm (No. 99)
Asymmetric unit:
Cs 0.0000 0.0000 0.0000 (multiplicity 1)
Ac 0.5000 0.5000 0.4993 (multiplicity 1)
Te 0.5000 0.5000 0.9989 (multiplicity 1)
I 0.0000 0.5000 0.4961 (multiplicity 2)

Most intense lines, 10 to 90 degrees two-theta, by angle:
(hkl), two_theta, d/Å, I/Imax
1 0 0, 13.47, 6.573, 43
1 0 1, 19.42, 4.570, 43
1 1 1, 23.71, 3.752, 45
2 0 0, 27.13, 3.286, 100
0 0 2, 28.06, 3.180, 46
2 1 1, 33.59, 2.668, 22
2 2 0, 38.75, 2.324, 39
2 0 2, 39.43, 2.285, 74
2 2 2, 48.52, 1.876, 41
4 2 2, 70.60, 1.334, 27

***

9.
Theoretical powder XRD pattern of Nd2Fe20Mo4N for Cu Kα X-rays, from a cell relaxed with PBE.
Lines closer than 0.1° are merged.

Structural model:
Lattice parameters (Å, degrees): 12.2304 4.7991 12.2382 90.00 90.08 90.00
Space group C2/m (No. 12)
Asymmetric unit:
Nd 0.0000 0.0000 0.0000 (multiplicity 2)
Nd 0.0000 0.5000 0.5000 (multiplicity 2)
Fe 0.0008 0.2496 0.2538 (multiplicity 8)
Fe 0.1105 0.5000 0.1113 (multiplicity 4)
Fe 0.1103 0.5000 0.8879 (multiplicity 4)
Fe 0.1113 0.0000 0.6103 (multiplicity 4)
Fe 0.1177 0.0000 0.3844 (multiplicity 4)
Fe 0.1788 0.5000 0.6800 (multiplicity 4)
Fe 0.1815 0.0000 0.1802 (multiplicity 4)
Fe 0.2500 0.2500 0.0000 (multiplicity 4)
Fe 0.2500 0.2500 0.5000 (multiplicity 4)
Mo 0.1783 0.0000 0.8205 (multiplicity 4)
Mo 0.1812 0.5000 0.3204 (multiplicity 4)
N 0.0000 0.5000 0.0000 (multiplicity 2)

Most intense lines, 10 to 90 degrees two-theta, by angle:
(hkl), two_theta, d/Å, I/Imax
4 0 -2, 32.72, 2.737, 17
3 1 3, 36.35, 2.472, 61
0 2 0, 37.48, 2.400, 22
4 0 4, 41.77, 2.162, 56
1 1 -5, 42.10, 2.146, 100
2 2 2, 43.11, 2.098, 74
3 1 -5, 47.28, 1.923, 19
0 2 4, 48.20, 1.888, 25
1 3 -5, 70.79, 1.331, 20
6 2 6, 77.19, 1.236, 20

***

10.
Theoretical powder XRD pattern of PuAl3Ge for Cu Kα X-rays, from a cell relaxed with PBE.
Lines closer than 0.1° are merged.

Structural model:
Lattice parameters (Å, degrees): 4.1486 4.1486 11.3378 90.00 90.00 90.00
Space group I4mm (No. 107)
Asymmetric unit:
Pu 0.0000 0.0000 0.0000 (multiplicity 2)
Al 0.0000 0.0000 0.6152 (multiplicity 2)
Al 0.0000 0.5000 0.2527 (multiplicity 4)
Ge 0.0000 0.0000 0.3978 (multiplicity 2)

Most intense lines, 10 to 90 degrees two-theta, by angle:
(hkl), two_theta, d/Å, I/Imax
0 0 2, 15.63, 5.669, 70
1 0 1, 22.83, 3.896, 65
1 1 0, 30.47, 2.933, 55
1 0 3, 32.04, 2.794, 95
1 1 2, 34.42, 2.605, 100
2 0 0, 43.64, 2.074, 40
1 0 5, 45.59, 1.990, 51
2 1 3, 55.15, 1.665, 42
2 1 5, 64.94, 1.436, 36
3 1 2, 74.19, 1.278, 22

***

> What is the formula in the tenth record?

PuAl3Ge

***

> Number 8 is which compound?

CsAcTeI2